[1]
For Ba2NaSr2Sb3O12, a structure optimized by DFT (PBE) gives the theoretical powder X-ray diffraction pattern in this record (Cu Kα X-rays).
Kinematic intensities with the Lorentz-polarization factor, no thermal factor.

Peak list (12 most intense, 2θ from 10° to 80°, by angle)
two_theta, I_rel
15.05, 10
26.22, 5
30.36, 100
37.42, 4
43.38, 11
43.53, 21
53.95, 40
63.13, 13
63.25, 6
71.54, 6
71.77, 12
79.81, 6

Crystal structure
a b c (Å): 8.3171 8.3171 8.3441
angles (deg): 90.00 90.00 90.00
Element x y z (fractional)
Ba: 0.2493 0.2507 0.2500
Ba: 0.2507 0.7507 0.7500
Ba: 0.7493 0.2493 0.7500
Ba: 0.7507 0.7493 0.2500
Na: 0.0000 0.0000 0.0000
Na: 0.5000 0.5000 0.5000
Sr: 0.2486 0.7486 0.2500
Sr: 0.2514 0.2486 0.7500
Sr: 0.7486 0.7514 0.7500
Sr: 0.7514 0.2514 0.2500
Sb: 0.0000 0.0000 0.5000
Sb: 0.0000 0.5000 0.9996
Sb: 0.0000 0.5000 0.5004
Sb: 0.5000 0.0000 0.0004
Sb: 0.5000 0.0000 0.4996
Sb: 0.5000 0.5000 0.0000
O: 0.0000 0.0000 0.2706
O: 0.0000 0.0000 0.7294
O: 0.0000 0.5000 0.2500
O: 0.0000 0.5000 0.7500
O: 0.0125 0.2699 0.9980
O: 0.0144 0.7500 0.4956
O: 0.2301 0.4875 0.5020
O: 0.2500 0.0144 0.5044
O: 0.2500 0.5144 0.0044
O: 0.2699 0.9875 0.0020
O: 0.4856 0.2500 0.9956
O: 0.4875 0.7699 0.4980
O: 0.5000 0.0000 0.2500
O: 0.5000 0.0000 0.7500
O: 0.5000 0.5000 0.2294
O: 0.5000 0.5000 0.7706
O: 0.5125 0.2301 0.4980
O: 0.5144 0.7500 0.9956
O: 0.7301 0.0125 0.0020
O: 0.7500 0.4856 0.0044
O: 0.7500 0.9856 0.5044
O: 0.7699 0.5125 0.5020
O: 0.9856 0.2500 0.4956
O: 0.9875 0.7301 0.9980

---

[2]
For Ho3AlN, a structure optimized by DFT (PBE) gives the theoretical powder X-ray diffraction pattern in this record (Cu Kα X-rays).
Kinematic intensities with the Lorentz-polarization factor, no thermal factor.

Peak list (12 most intense, 2θ from 10° to 80°, by angle)
two_theta, I_rel
18.70, 27
26.57, 15
32.69, 100
37.93, 56
42.61, 13
46.91, 7
54.72, 39
58.35, 6
61.84, 3
65.22, 42
68.51, 13
74.89, 4

Crystal structure
a b c (Å): 4.7442 4.7442 4.7442
angles (deg): 90.00 90.00 90.00
Element x y z (fractional)
Ho: 0.0000 0.0000 0.5000
Ho: 0.0000 0.5000 0.0000
Ho: 0.5000 0.0000 0.0000
Al: 0.5000 0.5000 0.5000
N: 0.0000 0.0000 0.0000

---

[3]
For PbSe2O5, a structure optimized by DFT (PBE) gives the theoretical powder X-ray diffraction pattern in this record (Cu Kα X-rays).
Kinematic intensities with the Lorentz-polarization factor, no thermal factor.

Peak list (12 most intense, 2θ from 10° to 80°, by angle)
two_theta, I_rel
11.78, 35
24.22, 47
26.18, 100
26.75, 30
27.79, 70
28.65, 19
30.00, 31
31.52, 43
35.18, 21
39.24, 25
42.19, 19
51.80, 18

Crystal structure
a b c (Å): 4.5923 9.6849 12.7587
angles (deg): 90.00 110.94 90.00
Element x y z (fractional)
Pb: 0.0495 0.0417 0.3471
Pb: 0.0495 0.4583 0.8471
Pb: 0.9505 0.5417 0.1529
Pb: 0.9505 0.9583 0.6529
Se: 0.3553 0.6449 0.5811
Se: 0.3553 0.8551 0.0811
Se: 0.4085 0.2503 0.1135
Se: 0.4085 0.2497 0.6135
Se: 0.5915 0.7503 0.3865
Se: 0.5915 0.7497 0.8865
Se: 0.6447 0.1449 0.9189
Se: 0.6447 0.3551 0.4189
O: 0.2009 0.7308 0.8457
O: 0.2009 0.7692 0.3457
O: 0.2684 0.0893 0.5575
O: 0.2684 0.4107 0.0575
O: 0.3174 0.1564 0.9758
O: 0.3174 0.3436 0.4758
O: 0.3840 0.6930 0.1361
O: 0.3840 0.8070 0.6361
O: 0.4650 0.0420 0.8072
O: 0.4650 0.4580 0.3072
O: 0.5350 0.5420 0.6928
O: 0.5350 0.9580 0.1928
O: 0.6160 0.1930 0.3639
O: 0.6160 0.3070 0.8639
O: 0.6826 0.6564 0.5242
O: 0.6826 0.8436 0.0242
O: 0.7316 0.5893 0.9425
O: 0.7316 0.9107 0.4425
O: 0.7991 0.2308 0.6543
O: 0.7991 0.2692 0.1543

---

[4]
For EuP2Pd2, a structure optimized by DFT (PBE) gives the theoretical powder X-ray diffraction pattern in this record (Cu Kα X-rays).
Kinematic intensities with the Lorentz-polarization factor, no thermal factor.

Peak list (12 most intense, 2θ from 10° to 80°, by angle)
two_theta, I_rel
23.03, 21
34.58, 25
35.27, 100
36.29, 16
43.13, 36
50.99, 10
56.42, 12
57.60, 16
62.64, 12
64.63, 14
68.95, 8
73.98, 23

Crystal structure
a b c (Å): 5.7718 5.7718 5.7718
angles (deg): 137.39 137.39 61.84
Element x y z (fractional)
Eu: 0.0000 0.0000 0.0000
P: 0.3878 0.3878 0.0000
P: 0.6122 0.6122 0.0000
Pd: 0.2500 0.7500 0.5000
Pd: 0.7500 0.2500 0.5000

---

[5]
For TiMnV2, a structure optimized by DFT (PBE) gives the theoretical powder X-ray diffraction pattern in this record (Cu Kα X-rays).
Kinematic intensities with the Lorentz-polarization factor, no thermal factor.

Peak list (12 most intense, 2θ from 10° to 80°, by angle)
two_theta, I_rel
10.76, 7
41.13, 29
42.75, 100
44.05, 21
49.73, 3
55.91, 1
61.84, 14
62.28, 8
68.59, 1
76.07, 15
77.39, 8
79.41, 6

Crystal structure
a b c (Å): 2.6531 2.6531 8.2229
angles (deg): 90.00 90.00 111.63
Element x y z (fractional)
Ti: 0.0000 0.0000 0.0000
Mn: 0.5000 0.5000 0.7580
V: 0.0000 0.0000 0.5328
V: 0.5000 0.5000 0.2816

---

[6]
For Ta3B4W3, a structure optimized by DFT (PBE) gives the theoretical powder X-ray diffraction pattern in this record (Cu Kα X-rays).
Kinematic intensities with the Lorentz-polarization factor, no thermal factor.

Peak list (12 most intense, 2θ from 10° to 80°, by angle)
two_theta, I_rel
32.46, 39
32.58, 39
34.61, 64
40.51, 100
43.21, 84
46.59, 26
46.72, 29
57.12, 19
67.29, 20
71.12, 18
71.42, 18
76.75, 26

Crystal structure
a b c (Å): 3.2251 6.1561 6.1561
angles (deg): 89.75 90.00 90.00
Element x y z (fractional)
Ta: 0.0000 0.0000 0.0000
Ta: 0.5000 0.1749 0.6710
Ta: 0.5000 0.6710 0.1749
B: 0.5000 0.0614 0.2874
B: 0.5000 0.2874 0.0614
B: 0.5000 0.5633 0.5633
B: 0.5000 0.7843 0.7843
W: 0.0000 0.3489 0.3489
W: 0.0000 0.5018 0.8439
W: 0.0000 0.8439 0.5018